# 1
Theoretical powder X-ray diffraction pattern
Compound: Ac3MgGa2Ge6
Radiation: Cu Kα X-rays
Structure: a structure optimized by DFT (PBE)
No peak broadening, texture or thermal motion is included.

Cell and atoms:
Lattice parameters (Å, degrees): 6.421 6.421 8.606 90.00 90.00 120.00
Fractional positions:
1 Ac 0.000 0.000 0.000
2 Ac 0.333 0.667 0.637
3 Ac 0.667 0.333 0.363
4 Mg 0.000 0.000 0.500
5 Ga 0.333 0.667 0.025
6 Ga 0.667 0.333 0.975
7 Ge 0.197 0.395 0.286
8 Ge 0.197 0.803 0.286
9 Ge 0.395 0.197 0.714
10 Ge 0.605 0.803 0.286
11 Ge 0.803 0.197 0.714
12 Ge 0.803 0.605 0.714

Top 12 peaks for 10° ≤ 2θ ≤ 90°, by angle:
two_theta, intensity
19.00, 71.0
26.19, 69.8
27.79, 99.4
31.18, 44.3
33.88, 100.0
34.87, 35.6
38.55, 73.6
42.25, 49.4
48.19, 29.0
53.87, 25.3
57.40, 30.5
61.07, 25.8


# 2
Theoretical powder X-ray diffraction pattern
Compound: LiMn2S4
Radiation: Cu Kα X-rays
Structure: a structure optimized by DFT (PBE)
No peak broadening, texture or thermal motion is included.

Cell and atoms:
Lattice parameters (Å, degrees): 6.883 6.883 6.883 119.94 119.73 90.29
Fractional positions:
1 Li 0.000 0.000 0.000
2 Li 0.500 0.000 0.500
3 Mn 0.000 0.500 0.500
4 Mn 0.500 0.000 0.000
5 Mn 0.500 0.500 0.000
6 Mn 0.500 0.500 0.500
7 S 0.258 0.276 0.518
8 S 0.258 0.741 0.982
9 S 0.260 0.742 0.518
10 S 0.276 0.258 0.018
11 S 0.724 0.742 0.982
12 S 0.740 0.258 0.482
13 S 0.742 0.259 0.018
14 S 0.742 0.724 0.482

Top 12 peaks for 10° ≤ 2θ ≤ 90°, by angle:
two_theta, intensity
15.75, 100.0
30.40, 22.5
30.51, 11.7
36.84, 80.1
37.04, 39.5
48.48, 14.2
53.00, 12.3
53.22, 61.0
55.81, 9.2
66.42, 11.6
66.58, 11.6
78.40, 6.9


# 3
Theoretical powder X-ray diffraction pattern
Compound: La3BN2O3
Radiation: Cu Kα X-rays
Structure: a structure optimized by DFT (PBE)
No peak broadening, texture or thermal motion is included.

Cell and atoms:
Lattice parameters (Å, degrees): 12.752 3.717 11.057 90.00 90.00 90.00
Fractional positions:
1 La 0.115 0.250 0.111
2 La 0.116 0.750 0.418
3 La 0.127 0.250 0.725
4 La 0.373 0.750 0.225
5 La 0.384 0.250 0.918
6 La 0.385 0.750 0.611
7 La 0.615 0.250 0.389
8 La 0.616 0.750 0.082
9 La 0.627 0.250 0.775
10 La 0.873 0.750 0.275
11 La 0.884 0.250 0.582
12 La 0.885 0.750 0.889
13 B 0.210 0.750 0.918
14 B 0.290 0.250 0.418
15 B 0.710 0.750 0.582
16 B 0.790 0.250 0.082
17 N 0.232 0.250 0.532
18 N 0.238 0.250 0.300
19 N 0.262 0.750 0.800
20 N 0.268 0.750 0.032
21 N 0.732 0.250 0.968
22 N 0.738 0.250 0.200
23 N 0.762 0.750 0.700
24 N 0.768 0.750 0.468
25 O 0.034 0.750 0.610
26 O 0.054 0.750 0.211
27 O 0.096 0.750 0.922
28 O 0.404 0.250 0.422
29 O 0.446 0.250 0.711
30 O 0.466 0.250 0.110
31 O 0.534 0.750 0.890
32 O 0.554 0.750 0.289
33 O 0.596 0.750 0.578
34 O 0.904 0.250 0.078
35 O 0.946 0.250 0.789
36 O 0.966 0.250 0.390

Top 12 peaks for 10° ≤ 2θ ≤ 90°, by angle:
two_theta, intensity
27.97, 100.0
29.80, 40.7
32.24, 24.2
33.02, 23.5
35.97, 22.9
46.18, 20.1
48.42, 14.8
49.01, 13.8
49.51, 17.3
52.76, 13.1
57.38, 27.9
72.22, 14.2